Entry 1:
For Tb8Al2Tl, the PBE geometry in Alexandria gives the simulated powder diffraction line list in this record (CuKα).
Intensities are scaled so that the largest is 100.

Structural model:
```
data_Tb8Al2Tl
_chemical_formula_sum 'Tb16 Al4 Tl2'
_cell_length_a 5.021
_cell_length_b 8.424
_cell_length_c 14.731
_cell_angle_alpha 90.00
_cell_angle_beta 90.00
_cell_angle_gamma 90.00
_space_group_name_H-M_alt 'I m m m'
_space_group_IT_number 71
_space_group_name_Hall '-I 2 2'
loop_
_atom_site_label
_atom_site_fract_x
_atom_site_fract_y
_atom_site_fract_z
Tb1 0.000 0.000 0.145
Tb2 0.000 0.216 0.339
Tb3 0.000 0.312 0.000
Al1 0.000 0.500 0.193
Tl1 0.000 0.500 0.500
```

Principal peaks in the range 10° ≤ 2θ ≤ 90°, low angle first:
12.1 deg, I = 12, (0 1 1)
23.9 deg, I = 22, (1 1 2)
32.0 deg, I = 30, (1 1 4)
32.5 deg, I = 23, (0 3 1)
33.2 deg, I = 100, (1 2 3)
35.8 deg, I = 27, (2 0 0)
36.6 deg, I = 21, (0 0 6)
49.1 deg, I = 14, (2 3 1)
52.1 deg, I = 15, (2 0 6)
62.7 deg, I = 17, (3 2 3)

---

Entry 2:
For Tb3Tm2Al2, the PBE geometry in Alexandria gives the simulated powder diffraction line list in this record (CuKα).
Intensities are scaled so that the largest is 100.

Structural model:
```
data_Tb3Tm2Al2
_chemical_formula_sum 'Tb6 Tm4 Al4'
_cell_length_a 9.092
_cell_length_b 5.252
_cell_length_c 8.339
_cell_angle_alpha 90.00
_cell_angle_beta 111.36
_cell_angle_gamma 90.00
_space_group_name_H-M_alt 'C 1 2/m 1'
_space_group_IT_number 12
loop_
_space_group_symop_operation_xyz
'x,y,z'
'-x,-y,-z'
'-x,y,-z'
'x,-y,z'
'x+1/2,y+1/2,z'
'-x+1/2,-y+1/2,-z'
'-x+1/2,y+1/2,-z'
'x+1/2,-y+1/2,z'
loop_
_atom_site_label
_atom_site_fract_x
_atom_site_fract_y
_atom_site_fract_z
Tb1 0.000 0.000 0.000
Tb2 0.154 0.000 0.462
Tm1 0.081 0.500 0.742
Al1 0.216 0.500 0.150
```

Principal peaks in the range 10° ≤ 2θ ≤ 90°, low angle first:
21.0 deg, I = 13, (1 1 -1)
27.4 deg, I = 43, (2 0 1)
33.4 deg, I = 91, (1 1 2)
34.2 deg, I = 100, (0 2 0)
48.5 deg, I = 32, (2 2 -3)
59.2 deg, I = 25, (0 2 4)
60.6 deg, I = 33, (5 1 -4)
61.1 deg, I = 19, (6 0 -2)
80.3 deg, I = 13, (6 0 -6)
81.6 deg, I = 14, (5 3 -4)

---

Entry 3:
For Tb12Tm7Al, the PBE geometry in Alexandria gives the simulated powder diffraction line list in this record (CuKα).
Intensities are scaled so that the largest is 100.

Structural model:
```
data_Tb12Tm7Al
_chemical_formula_sum 'Tb36 Tm21 Al3'
_cell_length_a 14.6842
_cell_length_b 14.6842
_cell_length_c 9.9941
_cell_angle_alpha 90.00
_cell_angle_beta 90.00
_cell_angle_gamma 120.00
_space_group_name_H-M_alt 'R -3'
_space_group_IT_number 148
_space_group_name_Hall '-R 3'
loop_
_atom_site_label
_atom_site_fract_x
_atom_site_fract_y
_atom_site_fract_z
Tb1 0.0422 0.2548 0.0730
Tb2 0.0437 0.1881 0.7530
Tm1 0.0000 0.0000 0.0000
Tm2 0.0673 0.2358 0.4282
Al1 0.0000 0.0000 0.5000
```

Principal peaks in the range 10° ≤ 2θ ≤ 90°, low angle first:
29.5 deg, I = 70, (2 -1 3)
31.0 deg, I = 29, (4 -1 2)
32.0 deg, I = 16, (3 2 1)
32.3 deg, I = 100, (1 4 0)
34.2 deg, I = 58, (0 3 3)
36.4 deg, I = 40, (4 -2 3)
51.1 deg, I = 18, (8 -5 1)
52.7 deg, I = 24, (5 2 3)
55.2 deg, I = 18, (0 0 6)
65.3 deg, I = 20, (1 4 6)